The following is a simulated powder diffraction line list of CsTa3Sb. It was derived from a structure optimized by DFT (GGA-PBE), using Cu Kα (weighted mean of Kα1 and Kα2).
Intensities are scaled so that the largest is 100.

Most intense lines, 2θ from 10° to 90°, in order of falling intensity:
2θ (°), intensity, (hkl)
34.11, 100, 2 0 0
29.43, 94, 1 1 1
49.02, 72, 2 2 0
58.21, 42, 3 1 1
81.98, 33, 4 2 0
16.87, 26, 1 0 0
61.07, 25, 2 2 2
79.48, 17, 3 3 1

```
data_CsTa3Sb
_chemical_formula_sum 'Cs1 Ta3 Sb1'
_space_group_name_H-M_alt 'P m -3 m'
_space_group_IT_number 221
_space_group_name_Hall '-P 4 2 3'
_cell_length_a 5.256
_cell_length_b 5.256
_cell_length_c 5.256
_cell_angle_alpha 90.00
_cell_angle_beta 90.00
_cell_angle_gamma 90.00
loop_
_atom_site_label
_atom_site_fract_x
_atom_site_fract_y
_atom_site_fract_z
Cs1 0.000 0.000 0.000
Ta1 0.000 0.500 0.500
Sb1 0.500 0.500 0.500
```